# 1
For PmY2HoBr4, a cell relaxed with GGA-PBE gives the computed X-ray diffraction stick pattern in this record (Cu Ka).
Intensities are scaled so that the largest is 100.

Most intense lines, 5° ≤ 2θ ≤ 70°, sorted by position:
2theta	d_spacing	I/Imax
30.09	2.970	57.7
30.64	2.918	45.1
34.23	2.619	100.0
38.61	2.332	55.8
43.47	2.082	34.1
56.13	1.639	23.7
65.92	1.417	22.6
69.15	1.358	16.4

Cell and atoms:
```
PmY2HoBr4
1.0
0.000 5.940 5.071
3.568 0.000 5.071
3.568 5.940 0.000
Pm Y Ho Br
1 2 1 4
direct
0.000 0.000 0.000
0.393 0.393 0.107
0.893 0.893 0.607
0.503 0.503 0.497
0.392 0.894 0.106
0.504 0.999 0.496
0.894 0.392 0.608
0.999 0.504 0.001
```

=====

# 2
For Er2AlSn, a cell relaxed with GGA-PBE gives the computed X-ray diffraction stick pattern in this record (Cu Ka).
Intensities are scaled so that the largest is 100.

Most intense lines, 5° ≤ 2θ ≤ 70°, sorted by position:
2theta	d_spacing	I/Imax
26.78	3.329	25.0
30.49	2.932	100.0
31.38	2.850	17.3
31.49	2.841	17.9
32.26	2.775	29.6
38.32	2.349	49.7
40.51	2.227	24.7
43.51	2.080	20.4

Cell and atoms:
```
Er2AlSn
1.0
5.986 0.000 0.000
0.000 4.160 0.000
-2.647 0.000 8.257
Er Al Sn
4 2 2
direct
0.199 0.250 0.427
0.282 0.750 0.066
0.718 0.250 0.934
0.801 0.750 0.573
0.128 0.250 0.791
0.872 0.750 0.209
0.377 0.750 0.709
0.623 0.250 0.291
```